[1]
Computed XRD peak list
Compound: Ce2Hg2Pb
Radiation: copper Kα
Structure: a structure optimized by DFT (PBE)
No peak broadening, texture or thermal motion is included.

abc: 9.616 5.022 6.755
angles: 90.00 124.32 90.00
Space group C2/m (No. 12)
Asymmetric unit:
1 Ce 0.086 0.000 0.262 (multiplicity 4)
2 Hg 0.197 0.500 0.090 (multiplicity 4)
3 Pb 0.000 0.500 0.500 (multiplicity 2)

Principal peaks in the range 10 to 90 degrees two-theta, low angle first:
two_theta, d [Å], intensity
32.67, 2.741, 100
33.30, 2.691, 100
34.32, 2.613, 44
35.76, 2.511, 43
44.13, 2.052, 22
50.40, 1.810, 30
58.05, 1.589, 20
60.03, 1.541, 15
61.20, 1.514, 17
62.31, 1.490, 16
62.69, 1.482, 16
69.92, 1.345, 12



[2]
Computed XRD peak list
Compound: Ce3HgPb5
Radiation: copper Kα
Structure: a structure optimized by DFT (PBE)
No peak broadening, texture or thermal motion is included.

abc: 9.5575 9.5575 6.6459
angles: 90.00 90.00 120.00
Space group P6_3/mcm (No. 193)
Asymmetric unit:
1 Ce 0.0000 0.3684 0.2500 (multiplicity 6)
2 Hg 0.0000 0.0000 0.0000 (multiplicity 2)
3 Pb 0.0000 0.2925 0.7500 (multiplicity 6)
4 Pb 0.3333 0.6667 0.0000 (multiplicity 4)

Principal peaks in the range 10 to 90 degrees two-theta, low angle first:
two_theta, d [Å], intensity
31.61, 2.831, 24
32.45, 2.759, 93
32.83, 2.728, 100
46.83, 1.940, 33
50.49, 1.807, 9
55.29, 1.661, 9
57.88, 1.593, 14
58.13, 1.587, 28
64.20, 1.451, 9
65.59, 1.423, 25
77.54, 1.231, 11
84.20, 1.150, 9



[3]
Computed XRD peak list
Compound: Ce2HgPb3
Radiation: copper Kα
Structure: a structure optimized by DFT (PBE)
No peak broadening, texture or thermal motion is included.

abc: 4.605 15.635 4.810
angles: 90.00 90.00 90.00
Space group Cmmm (No. 65)
Asymmetric unit:
1 Ce 0.000 0.150 0.000 (multiplicity 4)
2 Hg 0.000 0.000 0.500 (multiplicity 2)
3 Pb 0.000 0.326 0.500 (multiplicity 4)
4 Pb 0.000 0.500 0.000 (multiplicity 2)

Principal peaks in the range 10 to 90 degrees two-theta, low angle first:
two_theta, d [Å], intensity
31.92, 2.804, 100
34.42, 2.606, 19
37.39, 2.405, 17
39.12, 2.302, 15
51.72, 1.767, 12
53.08, 1.725, 11
55.23, 1.663, 11
60.08, 1.540, 13
64.03, 1.454, 14
66.40, 1.408, 13
66.72, 1.402, 11
87.11, 1.119, 5



[4]
Computed XRD peak list
Compound: Ce3Hg2Pb2
Radiation: copper Kα
Structure: a structure optimized by DFT (PBE)
No peak broadening, texture or thermal motion is included.

abc: 4.799 5.718 9.027
angles: 93.43 105.20 114.74
Space group P-1 (No. 2)
Asymmetric unit:
1 Ce 0.000 0.000 0.000 (multiplicity 1)
2 Ce 0.432 0.145 0.715 (multiplicity 2)
3 Hg 0.315 0.269 0.369 (multiplicity 2)
4 Pb 0.217 0.573 0.860 (multiplicity 2)

Principal peaks in the range 10 to 90 degrees two-theta, low angle first:
two_theta, d [Å], intensity
24.74, 3.599, 29
26.77, 3.331, 28
26.88, 3.317, 31
31.88, 2.808, 81
32.92, 2.721, 68
33.64, 2.664, 100
34.64, 2.589, 64
34.78, 2.579, 61
37.48, 2.399, 68
38.79, 2.321, 55
63.16, 1.472, 23
67.69, 1.384, 23



[5]
Computed XRD peak list
Compound: Ce6Hg6Pb
Radiation: copper Kα
Structure: a structure optimized by DFT (PBE)
No peak broadening, texture or thermal motion is included.

abc: 6.0603 6.0603 11.2740
angles: 90.00 90.00 120.00
Space group P6/mmm (No. 191)
Asymmetric unit:
1 Ce 0.0000 0.0000 0.1189 (multiplicity 2)
2 Ce 0.3333 0.6667 0.0000 (multiplicity 2)
3 Ce 0.3333 0.6667 0.5000 (multiplicity 2)
4 Hg 0.0000 0.5000 0.2528 (multiplicity 6)
5 Pb 0.0000 0.0000 0.5000 (multiplicity 1)

Principal peaks in the range 10 to 90 degrees two-theta, low angle first:
two_theta, d [Å], intensity
23.16, 3.841, 21
29.48, 3.030, 21
31.75, 2.819, 39
33.58, 2.669, 100
34.17, 2.624, 68
36.17, 2.483, 33
37.82, 2.379, 82
47.33, 1.921, 20
54.95, 1.671, 25
60.61, 1.528, 24
61.17, 1.515, 32
70.58, 1.334, 24



[6]
Computed XRD peak list
Compound: Ce2SmHg2Pb2
Radiation: copper Kα
Structure: a structure optimized by DFT (PBE)
No peak broadening, texture or thermal motion is included.

abc: 4.9940 4.9940 27.8238
angles: 90.00 90.00 120.00
Space group R-3m (No. 166, hexagonal axes)
Asymmetric unit:
1 Ce 0.0000 0.0000 0.1422 (multiplicity 6)
2 Sm 0.0000 0.0000 0.0000 (multiplicity 3)
3 Hg 0.0000 0.0000 0.4332 (multiplicity 6)
4 Pb 0.0000 0.0000 0.2745 (multiplicity 6)

Principal peaks in the range 10 to 90 degrees two-theta, low angle first:
two_theta, d [Å], intensity
19.14, 4.637, 4
30.55, 2.927, 100
35.97, 2.497, 72
47.89, 1.900, 29
50.54, 1.806, 19
61.32, 1.512, 28
63.58, 1.463, 9
64.65, 1.442, 13
75.27, 1.262, 12
76.26, 1.249, 8
82.40, 1.170, 6
84.34, 1.148, 12



[7]
Computed XRD peak list
Compound: CeTlHgPb
Radiation: copper Kα
Structure: a structure optimized by DFT (PBE)
No peak broadening, texture or thermal motion is included.

abc: 4.681 4.756 4.965
angles: 90.00 90.00 90.00
Space group Pmmm (No. 47)
Asymmetric unit:
1 Ce 0.000 0.000 0.000 (multiplicity 1)
2 Tl 0.500 0.000 0.500 (multiplicity 1)
3 Hg 0.000 0.500 0.500 (multiplicity 1)
4 Pb 0.500 0.500 0.000 (multiplicity 1)

Principal peaks in the range 10 to 90 degrees two-theta, low angle first:
two_theta, d [Å], intensity
32.33, 2.769, 100
36.19, 2.482, 19
37.83, 2.378, 16
38.46, 2.340, 16
53.35, 1.717, 12
53.84, 1.703, 12
55.06, 1.668, 11
62.66, 1.483, 15
64.88, 1.437, 14
65.73, 1.421, 13
67.67, 1.384, 12
87.78, 1.112, 6



[8]
Computed XRD peak list
Compound: CePmHg4
Radiation: copper Kα
Structure: a structure optimized by DFT (PBE)
No peak broadening, texture or thermal motion is included.

abc: 4.030 5.311 7.738
angles: 90.00 105.05 90.00
Space group Pm (No. 6)
Asymmetric unit:
1 Ce 0.000 0.000 0.000 (multiplicity 1)
2 Pm 0.208 0.500 0.420 (multiplicity 1)
3 Hg 0.333 0.000 0.666 (multiplicity 1)
4 Hg 0.540 0.500 0.083 (multiplicity 1)
5 Hg 0.671 0.000 0.342 (multiplicity 1)
6 Hg 0.873 0.500 0.751 (multiplicity 1)

Principal peaks in the range 10 to 90 degrees two-theta, low angle first:
two_theta, d [Å], intensity
28.48, 3.133, 13
33.20, 2.699, 100
33.75, 2.655, 28
36.06, 2.491, 12
39.98, 2.255, 17
44.98, 2.015, 13
50.22, 1.817, 9
57.40, 1.605, 12
60.02, 1.541, 19
61.73, 1.503, 10
70.90, 1.329, 11
75.44, 1.260, 10



[9]
Computed XRD peak list
Compound: CePmHg2
Radiation: copper Kα
Structure: a structure optimized by DFT (PBE)
No peak broadening, texture or thermal motion is included.

abc: 7.644 7.644 7.644
angles: 90.00 90.00 90.00
Space group Fm-3m (No. 225)
Asymmetric unit:
1 Ce 0.000 0.000 0.000 (multiplicity 4)
2 Pm 0.000 0.000 0.500 (multiplicity 4)
3 Hg 0.250 0.250 0.250 (multiplicity 8)

Principal peaks in the range 10 to 90 degrees two-theta, low angle first:
two_theta, d [Å], intensity
23.27, 3.822, 3
33.15, 2.703, 100
40.89, 2.207, 1
47.58, 1.911, 18
53.62, 1.709, 2
59.21, 1.560, 38
69.57, 1.351, 12
74.47, 1.274, 1
79.26, 1.209, 17
83.97, 1.152, 1
88.64, 1.103, 4



[10]
Computed XRD peak list
Compound: Ce2Pm3Hg7
Radiation: copper Kα
Structure: a structure optimized by DFT (PBE)
No peak broadening, texture or thermal motion is included.

abc: 5.243 24.133 5.446
angles: 90.00 90.00 90.00
Space group Cmmm (No. 65)
Asymmetric unit:
1 Ce 0.000 0.144 0.000 (multiplicity 4)
2 Pm 0.000 0.336 0.500 (multiplicity 4)
3 Pm 0.000 0.500 0.500 (multiplicity 2)
4 Hg 0.000 0.000 0.000 (multiplicity 2)
5 Hg 0.000 0.080 0.500 (multiplicity 4)
6 Hg 0.000 0.276 0.000 (multiplicity 4)
7 Hg 0.000 0.426 0.000 (multiplicity 4)

Principal peaks in the range 10 to 90 degrees two-theta, low angle first:
two_theta, d [Å], intensity
16.27, 5.446, 8
25.08, 3.551, 7
30.04, 2.975, 21
32.89, 2.723, 36
34.20, 2.622, 33
35.25, 2.546, 100
48.19, 1.889, 27
56.94, 1.617, 8
60.25, 1.536, 22
61.91, 1.499, 20
74.53, 1.273, 7
81.36, 1.183, 10



[11]
Computed XRD peak list
Compound: Ce2PmHg7
Radiation: copper Kα
Structure: a structure optimized by DFT (PBE)
No peak broadening, texture or thermal motion is included.

abc: 5.1444 5.1444 12.6960
angles: 90.00 90.00 120.00
Space group P3m1 (No. 156)
Asymmetric unit:
1 Ce 0.0000 0.0000 0.0000 (multiplicity 1)
2 Ce 0.3333 0.6667 0.6543 (multiplicity 1)
3 Pm 0.6667 0.3333 0.3141 (multiplicity 1)
4 Hg 0.0000 0.0000 0.2562 (multiplicity 1)
5 Hg 0.0000 0.0000 0.7461 (multiplicity 1)
6 Hg 0.3333 0.6667 0.1529 (multiplicity 1)
7 Hg 0.3333 0.6667 0.4096 (multiplicity 1)
8 Hg 0.3333 0.6667 0.8981 (multiplicity 1)
9 Hg 0.6667 0.3333 0.0604 (multiplicity 1)
10 Hg 0.6667 0.3333 0.5642 (multiplicity 1)

Principal peaks in the range 10 to 90 degrees two-theta, low angle first:
two_theta, d [Å], intensity
21.13, 4.204, 8
24.41, 3.647, 28
34.70, 2.585, 100
34.88, 2.572, 97
50.02, 1.823, 36
62.08, 1.495, 15
62.43, 1.488, 37
62.55, 1.485, 18
73.23, 1.293, 10
73.66, 1.286, 11
83.75, 1.155, 14
84.06, 1.151, 17



[12]
Computed XRD peak list
Compound: CePmHg4
Radiation: copper Kα
Structure: a structure optimized by DFT (PBE)
No peak broadening, texture or thermal motion is included.

abc: 8.521 8.521 8.521
angles: 90.00 90.00 90.00
Space group F-43m (No. 216)
Asymmetric unit:
1 Ce 0.000 0.000 0.000 (multiplicity 4)
2 Pm 0.250 0.250 0.750 (multiplicity 4)
3 Hg 0.125 0.125 0.375 (multiplicity 16)

Principal peaks in the range 10 to 90 degrees two-theta, low angle first:
two_theta, d [Å], intensity
18.03, 4.920, 17
29.65, 3.013, 17
34.92, 2.569, 100
36.53, 2.460, 52
42.43, 2.130, 11
46.45, 1.955, 5
52.62, 1.739, 7
56.08, 1.640, 35
61.57, 1.506, 32
72.78, 1.299, 12
73.76, 1.285, 21
88.04, 1.109, 23



[13]
Computed XRD peak list
Compound: CePmHg4
Radiation: copper Kα
Structure: a structure optimized by DFT (PBE)
No peak broadening, texture or thermal motion is included.

abc: 5.073 6.879 8.747
angles: 90.00 90.00 90.00
Space group Immm (No. 71)
Asymmetric unit:
1 Ce 0.000 0.000 0.000 (multiplicity 2)
2 Pm 0.000 0.500 0.000 (multiplicity 2)
3 Hg 0.000 0.253 0.333 (multiplicity 8)

Principal peaks in the range 10 to 90 degrees two-theta, low angle first:
two_theta, d [Å], intensity
25.91, 3.439, 17
33.11, 2.706, 100
35.39, 2.537, 35
35.51, 2.528, 70
44.48, 2.037, 17
49.26, 1.850, 22
53.27, 1.720, 11
62.08, 1.495, 11
62.25, 1.491, 22
63.61, 1.463, 13
65.64, 1.422, 35
87.56, 1.114, 11



[14]
Computed XRD peak list
Compound: Ce2PmHg8
Radiation: copper Kα
Structure: a structure optimized by DFT (PBE)
No peak broadening, texture or thermal motion is included.

abc: 5.247 7.390 15.006
angles: 90.00 90.00 90.00
Space group Immm (No. 71)
Asymmetric unit:
1 Ce 0.000 0.000 0.191 (multiplicity 4)
2 Pm 0.000 0.000 0.500 (multiplicity 2)
3 Hg 0.000 0.215 0.000 (multiplicity 4)
4 Hg 0.000 0.287 0.353 (multiplicity 8)
5 Hg 0.000 0.500 0.160 (multiplicity 4)

Principal peaks in the range 10 to 90 degrees two-theta, low angle first:
two_theta, d [Å], intensity
31.72, 2.821, 17
34.17, 2.624, 32
34.42, 2.605, 8
34.69, 2.586, 100
35.91, 2.501, 19
36.98, 2.431, 9
50.41, 1.810, 15
61.37, 1.511, 9
61.52, 1.507, 21
63.75, 1.460, 8
68.11, 1.377, 8
70.84, 1.330, 8